1.
Mg2Cu2CO11: computed X-ray diffraction stick pattern (a wavelength of 1.5418 Å), based on the GGA-PBE geometry in the Materials Project.

Main lines, most intense first (10° ≤ 2θ ≤ 80°):
- 11.50°, d 7.696, I 100.0, (1 1 0)
- 15.66°, d 5.659, I 73.6, (1 1 -1)
- 25.70°, d 3.466, I 58.7, (1 1 -2)
- 28.39°, d 3.144, I 54.8, (1 1 2)
- 16.74°, d 5.295, I 43.0, (2 0 0)
- 24.77°, d 3.595, I 42.0, (2 2 -1)
- 37.67°, d 2.388, I 31.8, (4 2 -1)
- 41.18°, d 2.192, I 18.3, (1 5 0)
- 53.08°, d 1.725, I 13.9, (5 3 1)
- 58.30°, d 1.583, I 11.6, (6 2 1)

Structure:
```
data_Mg2Cu2CO11
_space_group_name_H-M_alt 'C 1 2/c 1'
_space_group_IT_number 15
_space_group_name_Hall '-C 2yc'
_cell_length_a 10.7516
_cell_length_b 11.2034
_cell_length_c 7.3998
_cell_angle_alpha 90.00
_cell_angle_beta 99.97
_cell_angle_gamma 90.00
loop_
_atom_site_label
_atom_site_type_symbol
_atom_site_fract_x
_atom_site_fract_y
_atom_site_fract_z
Mg1 Mg 0.1812 0.1738 0.3141
Cu1 Cu 0.0606 0.3921 0.4725
C1 C 0.0000 0.0414 0.7500
O1 O 0.0000 0.1559 0.7500
O2 O 0.0118 0.2481 0.1558
O3 O 0.0982 0.4467 0.0078
O4 O 0.1047 0.0121 0.2502
O5 O 0.1372 0.3455 0.7353
O6 O 0.2155 0.3438 0.4272
```

***

2.
NbSi4Mo: computed X-ray diffraction stick pattern (a wavelength of 1.5418 Å), based on the GGA-PBE geometry in the Materials Project.

Main lines, most intense first (10° ≤ 2θ ≤ 80°):
- 40.44°, d 2.231, I 100.0, (1 2 1)
- 25.58°, d 3.482, I 68.6, (0 2 1)
- 47.28°, d 1.923, I 61.9, (1 4 -2)
- 41.23°, d 2.189, I 53.1, (0 6 0)
- 40.60°, d 2.222, I 49.1, (2 2 -1)
- 35.00°, d 2.564, I 45.8, (1 4 0)
- 25.66°, d 3.472, I 34.2, (1 2 -1)
- 47.42°, d 1.917, I 31.6, (2 4 -1)
- 69.64°, d 1.350, I 19.6, (1 8 1)
- 37.94°, d 2.372, I 15.2, (1 0 1)

Structure:
```
data_NbSi4Mo
_space_group_name_H-M_alt 'P 1 2 1'
_space_group_IT_number 3
_space_group_name_Hall 'P 2y'
_cell_length_a 4.7221
_cell_length_b 13.1368
_cell_length_c 4.7372
_cell_angle_alpha 90.00
_cell_angle_beta 119.73
_cell_angle_gamma 90.00
loop_
_atom_site_label
_atom_site_type_symbol
_atom_site_fract_x
_atom_site_fract_y
_atom_site_fract_z
Nb1 Nb 0.0000 0.0000 0.0000
Nb2 Nb 0.0000 0.4992 0.0000
Nb3 Nb 0.5000 0.6664 0.0000
Si1 Si 0.1763 0.1673 0.3405
Si2 Si 0.1796 0.6673 0.3415
Si3 Si 0.3364 0.4986 0.6568
Si4 Si 0.3380 0.8330 0.1791
Si5 Si 0.3401 0.9997 0.6638
Si6 Si 0.3422 0.3322 0.1760
Mo1 Mo 0.0000 0.3324 0.5000
Mo2 Mo 0.0000 0.8332 0.5000
Mo3 Mo 0.5000 0.1670 0.0000
```

***

3.
Si3Ag10S11: computed X-ray diffraction stick pattern (a wavelength of 1.5418 Å), based on the GGA-PBE geometry in the Materials Project.

Main lines, most intense first (10° ≤ 2θ ≤ 80°):
- 26.32°, d 3.386, I 100.0, (0 3 -1)
- 29.44°, d 3.034, I 86.5, (2 2 2)
- 31.12°, d 2.874, I 86.4, (2 -1 1)
- 30.08°, d 2.971, I 65.8, (1 4 1)
- 32.20°, d 2.780, I 64.2, (-1 3 3)
- 32.38°, d 2.765, I 44.5, (-1 1 4)
- 28.28°, d 3.156, I 38.6, (-1 3 1)
- 28.33°, d 3.150, I 38.3, (0 0 4)
- 30.21°, d 2.959, I 36.8, (1 3 4)
- 33.17°, d 2.701, I 35.2, (1 0 -4)

Structure:
```
data_Si3Ag10S11
_space_group_name_H-M_alt 'P -1'
_space_group_IT_number 2
_space_group_name_Hall '-P 1'
_cell_length_a 6.5030
_cell_length_b 12.5092
_cell_length_c 13.5751
_cell_angle_alpha 69.15
_cell_angle_beta 79.74
_cell_angle_gamma 78.21
loop_
_atom_site_label
_atom_site_type_symbol
_atom_site_fract_x
_atom_site_fract_y
_atom_site_fract_z
Si1 Si 0.0124 0.2891 0.0393
Si2 Si 0.2021 0.9878 0.1994
Si3 Si 0.3033 0.3248 0.4373
Ag1 Ag 0.1422 0.7777 0.6782
Ag2 Ag 0.1468 0.5278 0.1879
Ag3 Ag 0.1930 0.4724 0.6173
Ag4 Ag 0.2040 0.1371 0.8684
Ag5 Ag 0.2274 0.6727 0.3790
Ag6 Ag 0.2511 0.0982 0.6638
Ag7 Ag 0.3246 0.9660 0.4618
Ag8 Ag 0.3552 0.5376 0.8413
Ag9 Ag 0.4462 0.8115 0.0291
Ag10 Ag 0.4828 0.2352 0.1851
S1 S 0.0175 0.1028 0.0729
S2 S 0.0300 0.6757 0.5577
S3 S 0.0396 0.0028 0.3475
S4 S 0.0970 0.3299 0.1630
S5 S 0.1824 0.8230 0.1920
S6 S 0.2074 0.3393 0.8894
S7 S 0.3098 0.6370 0.9830
S8 S 0.3843 0.2915 0.5929
S9 S 0.3965 0.4844 0.3252
S10 S 0.4769 0.1800 0.3884
S11 S 0.4808 0.9733 0.8346
```